(1)
For WS8Cl6, a PBE-relaxed structure gives the theoretical X-ray powder pattern in this record (Cu Kα X-rays).
Lines closer than 0.1° are merged.

```
data_WS8Cl6
_chemical_formula_sum 'W2 S16 Cl12'
_cell_length_a 8.4775
_cell_length_b 8.5092
_cell_length_c 14.3481
_cell_angle_alpha 96.06
_cell_angle_beta 99.47
_cell_angle_gamma 90.14
_space_group_name_H-M_alt 'P -1'
_space_group_IT_number 2
loop_
_space_group_symop_operation_xyz
'x,y,z'
'-x,-y,-z'
loop_
_atom_site_label
_atom_site_type_symbol
_atom_site_fract_x
_atom_site_fract_y
_atom_site_fract_z
W1 W 0.2097 0.2239 0.3902
S1 S 0.0648 0.2479 0.8474
S2 S 0.1277 0.4798 0.8963
S3 S 0.2275 0.1011 0.9161
S4 S 0.2566 0.5730 0.8042
S5 S 0.3964 0.0365 0.8317
S6 S 0.4033 0.8192 0.1259
S7 S 0.4122 0.6380 0.2113
S8 S 0.4976 0.5600 0.8555
Cl1 Cl 0.0539 0.8532 0.6169
Cl2 Cl 0.1343 0.4846 0.3889
Cl3 Cl 0.1745 0.1958 0.2261
Cl4 Cl 0.2427 0.2514 0.5538
Cl5 Cl 0.2862 0.9636 0.3911
Cl6 Cl 0.4731 0.3013 0.3970
```

Most intense lines, 10 to 90 degrees two-theta, in order of rising 2θ:
2θ/deg	intensity	hkl
14.75	55	1 -1 0
15.05	100	1 0 -2
15.49	57	0 1 -2
17.24	72	0 1 2
17.76	79	1 0 2
25.32	44	0 0 4

---

(2)
For NaCePb4, a PBE-relaxed structure gives the theoretical X-ray powder pattern in this record (Cu Kα X-rays).
Lines closer than 0.1° are merged.

```
data_NaCePb4
_chemical_formula_sum 'Na1 Ce1 Pb4'
_cell_length_a 4.7200
_cell_length_b 7.2527
_cell_length_c 6.0482
_cell_angle_alpha 90.00
_cell_angle_beta 90.34
_cell_angle_gamma 90.00
_space_group_name_H-M_alt 'P 1 m 1'
_space_group_IT_number 6
loop_
_space_group_symop_operation_xyz
'x,y,z'
'x,-y,z'
loop_
_atom_site_label
_atom_site_type_symbol
_atom_site_fract_x
_atom_site_fract_y
_atom_site_fract_z
Na1 Na 0.0000 0.0000 0.0000
Ce1 Ce 0.5065 0.5000 0.7067
Pb1 Pb 0.0049 0.2174 0.5230
Pb2 Pb 0.5020 0.2810 0.1944
```

Most intense lines, 10 to 90 degrees two-theta, in order of rising 2θ:
2θ/deg	intensity	hkl
14.65	35	0 0 1
23.84	33	1 0 -1
23.98	34	1 0 1
24.55	33	0 2 0
28.70	32	0 2 1
34.54	100	1 2 1

---

(3)
For BaIClO4, a PBE-relaxed structure gives the theoretical X-ray powder pattern in this record (Cu Kα X-rays).
Lines closer than 0.1° are merged.

```
data_BaIClO4
_chemical_formula_sum 'Ba4 I4 Cl4 O16'
_cell_length_a 11.3172
_cell_length_b 8.3517
_cell_length_c 7.7014
_cell_angle_alpha 90.00
_cell_angle_beta 104.84
_cell_angle_gamma 90.00
_space_group_name_H-M_alt 'C 1 2/m 1'
_space_group_IT_number 12
loop_
_space_group_symop_operation_xyz
'x,y,z'
'-x,-y,-z'
'-x,y,-z'
'x,-y,z'
'x+1/2,y+1/2,z'
'-x+1/2,-y+1/2,-z'
'-x+1/2,y+1/2,-z'
'x+1/2,-y+1/2,z'
loop_
_atom_site_label
_atom_site_type_symbol
_atom_site_fract_x
_atom_site_fract_y
_atom_site_fract_z
Ba1 Ba 0.2102 0.0000 0.1382
I1 I 0.1327 0.5000 0.2547
Cl1 Cl 0.0303 0.0000 0.7714
O1 O 0.0305 0.5000 0.7941
O2 O 0.1844 0.3301 0.1504
O3 O 0.1970 0.5000 0.4923
```

Most intense lines, 10 to 90 degrees two-theta, in order of rising 2θ:
2θ/deg	intensity	hkl
11.89	35	0 0 1
21.28	100	0 2 0
22.50	51	2 0 1
25.55	39	1 1 -2
26.55	58	3 1 -1
40.71	37	3 3 -1

---

(4)
For MnBeTcPCl, a PBE-relaxed structure gives the theoretical X-ray powder pattern in this record (Cu Kα X-rays).
Lines closer than 0.1° are merged.

```
data_MnBeTcPCl
_chemical_formula_sum 'Mn2 Be2 Tc2 P2 Cl2'
_cell_length_a 3.2693
_cell_length_b 3.4169
_cell_length_c 13.7923
_cell_angle_alpha 90.00
_cell_angle_beta 90.00
_cell_angle_gamma 90.00
_space_group_name_H-M_alt 'A m m 2'
_space_group_IT_number 38
loop_
_space_group_symop_operation_xyz
'x,y,z'
'-x,-y,z'
'-x,y,z'
'x,-y,z'
'x,y+1/2,z+1/2'
'-x,-y+1/2,z+1/2'
'-x,y+1/2,z+1/2'
'x,-y+1/2,z+1/2'
loop_
_atom_site_label
_atom_site_type_symbol
_atom_site_fract_x
_atom_site_fract_y
_atom_site_fract_z
Mn1 Mn 0.0000 0.0000 0.0000
Be1 Be 0.5000 0.0000 0.8487
Tc1 Tc 0.0000 0.0000 0.3389
P1 P 0.5000 0.0000 0.4642
Cl1 Cl 0.0000 0.0000 0.1656
```

Most intense lines, 10 to 90 degrees two-theta, in order of rising 2θ:
2θ/deg	intensity	hkl
12.84	100	0 0 2
26.88	73	0 1 1
27.28	60	1 0 0
38.67	58	1 1 1
43.05	64	1 1 3
50.89	46	1 1 5

---

(5)
For Ba7B4S13, a PBE-relaxed structure gives the theoretical X-ray powder pattern in this record (Cu Kα X-rays).
Lines closer than 0.1° are merged.

```
data_Ba7B4S13
_chemical_formula_sum 'Ba28 B16 S52'
_cell_length_a 10.2982
_cell_length_b 24.3306
_cell_length_c 10.2872
_cell_angle_alpha 90.00
_cell_angle_beta 90.03
_cell_angle_gamma 90.00
_space_group_name_H-M_alt 'C 1 2/c 1'
_space_group_IT_number 15
loop_
_space_group_symop_operation_xyz
'x,y,z'
'-x,-y,-z'
'-x,y,-z+1/2'
'x,-y,z+1/2'
'x+1/2,y+1/2,z'
'-x+1/2,-y+1/2,-z'
'-x+1/2,y+1/2,-z+1/2'
'x+1/2,-y+1/2,z+1/2'
loop_
_atom_site_label
_atom_site_type_symbol
_atom_site_fract_x
_atom_site_fract_y
_atom_site_fract_z
Ba1 Ba 0.0000 0.0027 0.2500
Ba2 Ba 0.0000 0.1687 0.7500
Ba3 Ba 0.0000 0.4936 0.7500
Ba4 Ba 0.1062 0.3280 0.0298
Ba5 Ba 0.2206 0.1747 0.3561
B1 B 0.0994 0.1176 0.0678
B2 B 0.1799 0.3876 0.3508
S1 S 0.0000 0.2957 0.7500
S2 S 0.0418 0.0828 0.4982
S3 S 0.0990 0.1937 0.0614
S4 S 0.0998 0.4233 0.4844
S5 S 0.1872 0.3111 0.3485
S6 S 0.2325 0.0814 0.1477
S7 S 0.2424 0.4227 0.2084
```

Most intense lines, 10 to 90 degrees two-theta, in order of rising 2θ:
2θ/deg	intensity	hkl
21.92	47	0 6 0
27.65	100	3 1 -1
33.10	79	1 5 3
37.87	60	1 7 3
39.14	66	2 0 -4
45.31	47	4 6 2

---

(6)
For RbGePb, a PBE-relaxed structure gives the theoretical X-ray powder pattern in this record (Cu Kα X-rays).
Lines closer than 0.1° are merged.

```
data_RbGePb
_chemical_formula_sum 'Rb4 Ge4 Pb4'
_cell_length_a 15.4462
_cell_length_b 4.3217
_cell_length_c 7.6153
_cell_angle_alpha 90.00
_cell_angle_beta 118.75
_cell_angle_gamma 90.00
_space_group_name_H-M_alt 'C 1 m 1'
_space_group_IT_number 8
loop_
_space_group_symop_operation_xyz
'x,y,z'
'x,-y,z'
'x+1/2,y+1/2,z'
'x+1/2,-y+1/2,z'
loop_
_atom_site_label
_atom_site_type_symbol
_atom_site_fract_x
_atom_site_fract_y
_atom_site_fract_z
Rb1 Rb 0.0000 0.0000 0.0000
Rb2 Rb 0.1528 0.5000 0.6270
Ge1 Ge 0.3641 0.0000 0.1617
Ge2 Ge 0.4459 0.5000 0.4265
Pb1 Pb 0.2283 0.5000 0.1747
Pb2 Pb 0.3415 0.0000 0.5368
```

Most intense lines, 10 to 90 degrees two-theta, in order of rising 2θ:
2θ/deg	intensity	hkl
13.07	52	2 0 0
13.42	59	2 0 -1
27.05	37	1 1 1
28.59	100	3 1 0
31.95	46	1 1 -2
32.09	79	3 1 -2